PuZn2Sn: calculated powder XRD pattern (Cu Ka), based on a cell relaxed with GGA-PBE.

Principal peaks in the range 2θ from 10° to 90°, in order of rising 2θ:
| h k l | 2θ (°) | I (rel.) |
| --- | --- | --- |
| 1 0 0 | 25.1 | 228 |
| 0 0 2 | 25.7 | 111 |
| 1 0 1 | 28.3 | 124 |
| 1 1 0 | 35.9 | 522 |
| 1 0 2 | 36.3 | 1000 |
| 1 1 2 | 44.6 | 109 |
| 2 0 0 | 51.6 | 186 |
| 2 1 2 | 64.7 | 373 |
| 1 1 4 | 65.5 | 174 |
| 2 0 4 | 77.0 | 110 |

Crystal structure
```
PuZn2Sn
1.0
3.541 0.000 0.000
0.000 3.541 0.000
0.000 0.000 6.930
Pu Zn Sn
1 2 1
Direct
0.000 0.000 0.000
0.500 0.500 0.267
0.500 0.500 0.733
0.000 0.000 0.500
```